No. 1
Structure and theoretical PXRD pattern of MgTe3 (a crystal structure in Alexandria, relaxed with GGA-PBE; Cu Kα (weighted mean of Kα1 and Kα2)).
Intensities are scaled so that the largest is 100.

Largest 10 diffraction maxima, in order of rising 2θ, 10 to 80 degrees two-theta:
2θ (°), I_rel
16.5, 17.2
29.0, 8.9
33.3, 50.9
33.5, 100.0
47.8, 18.3
48.4, 8.8
59.6, 37.4
60.0, 18.3
70.4, 11.3
79.6, 8.0

Structure:
```
4
Lattice="5.386 0.000 0.000 0.000 5.386 0.000 0.000 0.000 3.762" Properties=species:S:1:pos:R:3 pbc="T T T"
Mg 0.000 0.000 0.000
Te 0.000 2.693 1.881
Te 2.693 0.000 1.881
Te 2.693 2.693 0.000
```

---

No. 2
Structure and theoretical PXRD pattern of Sr4Cu5 (a crystal structure in Alexandria, relaxed with GGA-PBE; Cu Kα (weighted mean of Kα1 and Kα2)).
Intensities are scaled so that the largest is 100.

Largest 10 diffraction maxima, in order of rising 2θ, 10 to 80 degrees two-theta:
2θ (°), I_rel
32.9, 33.8
33.2, 100.0
34.1, 82.2
43.5, 16.0
48.3, 25.3
51.2, 9.3
54.9, 9.3
60.4, 21.1
63.9, 11.5
66.2, 22.1

Structure:
```
18
Lattice="9.117 0.000 0.000 -4.558 7.896 0.000 0.000 0.000 6.686" Properties=species:S:1:pos:R:3 pbc="T T T"
Sr 0.000 0.000 0.000
Sr 0.000 0.000 3.343
Sr -1.737 3.009 1.671
Sr -2.821 4.887 5.014
Sr 3.474 0.000 1.671
Sr 1.737 3.009 5.014
Sr 5.643 0.000 5.014
Sr 2.821 4.887 1.671
Cu -1.325 2.295 5.014
Cu -3.234 5.601 1.671
Cu 2.650 0.000 5.014
Cu 1.325 2.295 1.671
Cu 0.000 5.264 0.000
Cu 0.000 5.264 3.343
Cu 4.558 2.632 0.000
Cu 4.558 2.632 3.343
Cu 6.467 0.000 1.671
Cu 3.234 5.601 5.014
```

---

No. 3
Structure and theoretical PXRD pattern of K2Bi4Pt3 (a crystal structure in Alexandria, relaxed with GGA-PBE; Cu Kα (weighted mean of Kα1 and Kα2)).
Intensities are scaled so that the largest is 100.

Largest 10 diffraction maxima, in order of rising 2θ, 10 to 80 degrees two-theta:
2θ (°), I_rel
12.1, 45.9
15.9, 38.5
17.1, 78.4
33.4, 100.0
34.7, 44.6
37.5, 39.8
40.7, 24.5
40.9, 44.3
53.1, 27.5
57.4, 24.7

Structure:
```
9
Lattice="0.000 5.574 7.300 3.189 0.000 7.300 3.189 5.574 0.000" Properties=species:S:1:pos:R:3 pbc="T T T"
K 3.189 5.574 1.713
K 3.189 5.574 12.887
Bi 3.189 3.733 5.220
Bi 3.189 3.733 9.381
Bi 3.189 7.415 5.220
Bi 3.189 7.415 9.381
Pt 1.594 2.787 0.000
Pt 1.594 2.787 7.300
Pt 3.189 5.574 7.300
```

---

No. 4
Structure and theoretical PXRD pattern of CuSiHg3 (a crystal structure in Alexandria, relaxed with GGA-PBE; Cu Kα (weighted mean of Kα1 and Kα2)).
Intensities are scaled so that the largest is 100.

Largest 10 diffraction maxima, in order of rising 2θ, 10 to 80 degrees two-theta:
2θ (°), I_rel
17.7, 51.6
25.2, 7.9
31.0, 100.0
35.9, 79.4
40.4, 27.6
51.7, 56.5
55.1, 13.8
61.5, 44.4
64.6, 19.4
76.2, 9.1

Structure:
```
5
Lattice="4.997 0.000 0.000 0.000 4.997 0.000 0.000 0.000 4.997" Properties=species:S:1:pos:R:3 pbc="T T T"
Cu 0.000 0.000 0.000
Si 2.499 2.499 2.499
Hg 0.000 0.000 2.499
Hg 0.000 2.499 0.000
Hg 2.499 0.000 0.000
```

---

No. 5
Structure and theoretical PXRD pattern of PrDyTm2Th (a crystal structure in Alexandria, relaxed with GGA-PBE; Cu Kα (weighted mean of Kα1 and Kα2)).
Intensities are scaled so that the largest is 100.

Largest 10 diffraction maxima, in order of rising 2θ, 10 to 80 degrees two-theta:
2θ (°), I_rel
15.8, 18.9
20.5, 16.3
31.0, 16.7
31.7, 100.0
31.9, 40.4
32.7, 20.5
34.9, 27.7
36.5, 25.8
56.6, 19.5
61.9, 20.4

Structure:
```
5
Lattice="3.531 0.000 0.000 0.000 5.619 0.000 -0.011 0.000 8.663" Properties=species:S:1:pos:R:3 pbc="T T T"
Pr 0.000 0.000 0.000
Dy 1.760 0.000 4.331
Tm 0.001 2.810 2.789
Tm 3.518 2.810 5.874
Th 1.765 2.810 0.000
```

---

No. 6
Structure and theoretical PXRD pattern of TaOF (a crystal structure in Alexandria, relaxed with GGA-PBE; Cu Kα (weighted mean of Kα1 and Kα2)).
Intensities are scaled so that the largest is 100.

Largest 10 diffraction maxima, in order of rising 2θ, 10 to 80 degrees two-theta:
2θ (°), I_rel
14.1, 100.0
22.9, 35.1
33.6, 75.3
33.9, 24.1
36.3, 14.2
39.2, 14.1
39.4, 16.9
47.3, 16.5
51.2, 14.6
59.6, 15.4

Structure:
```
6
Lattice="1.641 -6.263 0.000 1.641 6.263 0.000 0.000 0.000 4.944" Properties=species:S:1:pos:R:3 pbc="T T T"
Ta 1.641 3.686 2.472
Ta 1.641 -3.686 0.000
O 1.641 2.200 1.238
O 1.641 -2.200 3.710
F 1.641 5.533 2.069
F 1.641 -5.533 4.541
```

---

No. 7
Structure and theoretical PXRD pattern of CuSnO12 (a crystal structure in Alexandria, relaxed with GGA-PBE; Cu Kα (weighted mean of Kα1 and Kα2)).
Intensities are scaled so that the largest is 100.

Largest 10 diffraction maxima, in order of rising 2θ, 10 to 80 degrees two-theta:
2θ (°), I_rel
13.8, 96.8
19.6, 100.0
22.1, 29.7
24.6, 31.7
27.8, 19.2
29.7, 25.3
31.1, 60.7
38.5, 38.7
49.6, 13.9
55.8, 16.5

Structure:
```
28
Lattice="9.080 0.000 0.000 0.000 9.080 0.000 0.000 0.000 8.041" Properties=species:S:1:pos:R:3 pbc="T T T"
Cu 2.270 6.810 2.010
Cu 6.810 2.270 6.031
Sn 2.270 6.810 6.031
Sn 6.810 2.270 2.010
O 0.813 1.780 5.654
O 0.813 2.760 6.408
O 1.743 6.283 3.837
O 1.743 7.337 0.184
O 1.780 0.813 2.387
O 1.780 3.727 1.633
O 2.760 0.813 1.633
O 2.760 3.727 2.387
O 2.797 6.283 0.184
O 2.797 7.337 3.837
O 3.727 1.780 6.408
O 3.727 2.760 5.654
O 5.353 6.320 2.387
O 5.353 7.300 1.633
O 6.283 1.743 4.205
O 6.283 2.797 7.857
O 6.320 5.353 5.654
O 6.320 8.267 6.408
O 7.300 5.353 6.408
O 7.300 8.267 5.654
O 7.337 1.743 7.857
O 7.337 2.797 4.205
O 8.267 6.320 1.633
O 8.267 7.300 2.387
```

---

No. 8
Structure and theoretical PXRD pattern of Li3Cd4In2Ag2 (a crystal structure in Alexandria, relaxed with GGA-PBE; Cu Kα (weighted mean of Kα1 and Kα2)).
Intensities are scaled so that the largest is 100.

Largest 10 diffraction maxima, in order of rising 2θ, 10 to 80 degrees two-theta:
2θ (°), I_rel
21.4, 72.2
37.5, 75.1
38.5, 100.0
43.6, 11.0
54.8, 34.2
58.9, 8.6
67.7, 12.4
68.4, 34.4
70.2, 5.2
78.5, 14.8

Structure:
```
11
Lattice="4.793 0.000 0.000 -2.397 4.151 0.000 0.000 0.000 11.326" Properties=species:S:1:pos:R:3 pbc="T T T"
Li 0.000 0.000 0.000
Li 0.000 0.000 3.744
Li 0.000 0.000 7.581
Cd 0.000 2.767 5.028
Cd 0.000 2.767 10.542
Cd 2.397 1.384 0.784
Cd 2.397 1.384 6.297
In 0.000 2.767 2.149
In 2.397 1.384 9.176
Ag 0.000 2.767 7.790
Ag 2.397 1.384 3.535
```

---

No. 9
Structure and theoretical PXRD pattern of TmPd12Pt7 (a crystal structure in Alexandria, relaxed with GGA-PBE; Cu Kα (weighted mean of Kα1 and Kα2)).
Intensities are scaled so that the largest is 100.

Largest 10 diffraction maxima, in order of rising 2θ, 10 to 80 degrees two-theta:
2θ (°), I_rel
16.5, 18.5
36.0, 27.0
38.8, 73.3
39.6, 70.4
39.8, 100.0
40.5, 62.7
43.1, 50.1
46.5, 16.0
69.9, 25.3
73.3, 28.5

Structure:
```
20
Lattice="5.385 3.109 3.199 -5.385 3.109 3.199 0.000 -6.218 3.199" Properties=species:S:1:pos:R:3 pbc="T T T"
Tm 0.000 0.000 0.000
Pd -1.415 -3.768 3.199
Pd -3.970 0.658 3.199
Pd -2.329 -1.345 4.410
Pd 1.415 -3.768 3.199
Pd -2.555 3.109 3.199
Pd 0.000 -2.690 5.186
Pd -2.329 1.345 5.186
Pd 2.329 -1.345 4.410
Pd 0.000 2.690 4.410
Pd 3.970 0.658 3.199
Pd 2.555 3.109 3.199
Pd 2.329 1.345 5.186
Pt 0.000 -1.583 2.424
Pt -1.371 0.792 2.424
Pt 1.371 0.792 2.424
Pt 0.000 0.000 4.798
Pt -1.371 -0.792 7.172
Pt 1.371 -0.792 7.172
Pt 0.000 1.583 7.172
```

---

No. 10
Structure and theoretical PXRD pattern of Ho3SiNi2 (a crystal structure in Alexandria, relaxed with GGA-PBE; Cu Kα (weighted mean of Kα1 and Kα2)).
Intensities are scaled so that the largest is 100.

Largest 10 diffraction maxima, in order of rising 2θ, 10 to 80 degrees two-theta:
2θ (°), I_rel
25.2, 42.2
28.4, 54.9
31.9, 56.2
32.6, 96.6
32.9, 93.7
33.8, 100.0
36.6, 75.5
42.4, 44.3
46.0, 48.4
57.6, 49.8

Structure:
```
24
Lattice="11.324 0.000 0.000 0.000 3.944 0.000 0.000 0.000 11.303" Properties=species:S:1:pos:R:3 pbc="T T T"
Ho 0.703 0.986 1.350
Ho 1.336 2.958 6.353
Ho 2.170 0.986 9.192
Ho 3.492 2.958 3.540
Ho 4.326 0.986 0.701
Ho 4.959 2.958 7.002
Ho 6.365 0.986 4.301
Ho 6.998 2.958 10.602
Ho 7.832 0.986 7.763
Ho 9.154 2.958 2.112
Ho 9.988 0.986 4.950
Ho 10.621 2.958 9.953
Si 1.441 0.986 4.163
Si 4.221 2.958 9.815
Si 7.103 0.986 1.488
Si 9.883 2.958 7.140
Ni 0.380 2.958 3.516
Ni 2.183 2.958 11.143
Ni 3.479 0.986 5.492
Ni 5.282 0.986 9.168
Ni 6.042 2.958 2.136
Ni 7.845 2.958 5.812
Ni 9.141 0.986 0.160
Ni 10.944 0.986 7.788
```

---

Please write out number 6 again, unchanged.
Structure and theoretical PXRD pattern of TaOF (a crystal structure in Alexandria, relaxed with GGA-PBE; Cu Kα (weighted mean of Kα1 and Kα2)).
Intensities are scaled so that the largest is 100.

Largest 10 diffraction maxima, in order of rising 2θ, 10 to 80 degrees two-theta:
2θ (°), I_rel
14.1, 100.0
22.9, 35.1
33.6, 75.3
33.9, 24.1
36.3, 14.2
39.2, 14.1
39.4, 16.9
47.3, 16.5
51.2, 14.6
59.6, 15.4

Structure:
```
6
Lattice="1.641 -6.263 0.000 1.641 6.263 0.000 0.000 0.000 4.944" Properties=species:S:1:pos:R:3 pbc="T T T"
Ta 1.641 3.686 2.472
Ta 1.641 -3.686 0.000
O 1.641 2.200 1.238
O 1.641 -2.200 3.710
F 1.641 5.533 2.069
F 1.641 -5.533 4.541
```